Entry 1:
Tl4I5N2: simulated powder X-ray diffraction pattern (Cu Kα (λ = 1.5418 Å)), based on a cell relaxed with GGA-PBE.
Kinematic intensities with the Lorentz-polarization factor, no thermal factor.

Structure:
abc: 9.926 9.926 9.016
angles: 109.11 109.11 35.77
Element x y z (fractional)
Tl: 0.079 0.079 0.192
Tl: 0.309 0.309 0.974
Tl: 0.691 0.691 0.026
Tl: 0.921 0.921 0.808
I: 0.108 0.108 0.836
I: 0.259 0.259 0.301
I: 0.500 0.500 0.000
I: 0.741 0.741 0.699
I: 0.892 0.892 0.164
N: 0.481 0.481 0.535
N: 0.519 0.519 0.465

The 8 most intense peaks (15° ≤ 2θ ≤ 90°), in order of falling intensity:
| d/Å | 2theta | intensity |
| --- | --- | --- |
| 3.066 | 29.1 | 100 |
| 3.610 | 24.7 | 94 |
| 3.048 | 29.3 | 77 |
| 2.642 | 33.9 | 76 |
| 2.654 | 33.8 | 68 |
| 2.946 | 30.3 | 56 |
| 2.119 | 42.7 | 50 |
| 2.868 | 31.2 | 32 |

---

Entry 2:
TlZn6As4: simulated powder X-ray diffraction pattern (Cu Kα (λ = 1.5418 Å)), based on a cell relaxed with GGA-PBE.
Kinematic intensities with the Lorentz-polarization factor, no thermal factor.

Structure:
abc: 13.504 13.504 13.504
angles: 161.97 161.97 25.61
Element x y z (fractional)
Tl: 0.000 0.000 0.000
Zn: 0.126 0.626 0.500
Zn: 0.250 0.750 0.500
Zn: 0.374 0.874 0.500
Zn: 0.626 0.126 0.500
Zn: 0.750 0.250 0.500
Zn: 0.874 0.374 0.500
As: 0.192 0.192 0.000
As: 0.426 0.426 0.000
As: 0.574 0.574 0.000
As: 0.808 0.808 0.000

The 8 most intense peaks (15° ≤ 2θ ≤ 90°), in order of falling intensity:
| d/Å | 2theta | intensity |
| --- | --- | --- |
| 3.299 | 27.0 | 100 |
| 2.117 | 42.7 | 54 |
| 1.781 | 51.3 | 38 |
| 2.215 | 40.7 | 37 |
| 2.919 | 30.6 | 32 |
| 2.725 | 32.9 | 26 |
| 1.977 | 45.9 | 24 |
| 2.812 | 31.8 | 20 |

---

What did the first record say?
Tl4I5N2: simulated powder X-ray diffraction pattern (Cu Kα (λ = 1.5418 Å)), based on a cell relaxed with GGA-PBE.
Kinematic intensities with the Lorentz-polarization factor, no thermal factor.

Structure:
abc: 9.926 9.926 9.016
angles: 109.11 109.11 35.77
Element x y z (fractional)
Tl: 0.079 0.079 0.192
Tl: 0.309 0.309 0.974
Tl: 0.691 0.691 0.026
Tl: 0.921 0.921 0.808
I: 0.108 0.108 0.836
I: 0.259 0.259 0.301
I: 0.500 0.500 0.000
I: 0.741 0.741 0.699
I: 0.892 0.892 0.164
N: 0.481 0.481 0.535
N: 0.519 0.519 0.465

The 8 most intense peaks (15° ≤ 2θ ≤ 90°), in order of falling intensity:
| d/Å | 2theta | intensity |
| --- | --- | --- |
| 3.066 | 29.1 | 100 |
| 3.610 | 24.7 | 94 |
| 3.048 | 29.3 | 77 |
| 2.642 | 33.9 | 76 |
| 2.654 | 33.8 | 68 |
| 2.946 | 30.3 | 56 |
| 2.119 | 42.7 | 50 |
| 2.868 | 31.2 | 32 |

---

Copy entry 1 word for word.
Tl4I5N2: simulated powder X-ray diffraction pattern (Cu Kα (λ = 1.5418 Å)), based on a cell relaxed with GGA-PBE.
Kinematic intensities with the Lorentz-polarization factor, no thermal factor.

Structure:
abc: 9.926 9.926 9.016
angles: 109.11 109.11 35.77
Element x y z (fractional)
Tl: 0.079 0.079 0.192
Tl: 0.309 0.309 0.974
Tl: 0.691 0.691 0.026
Tl: 0.921 0.921 0.808
I: 0.108 0.108 0.836
I: 0.259 0.259 0.301
I: 0.500 0.500 0.000
I: 0.741 0.741 0.699
I: 0.892 0.892 0.164
N: 0.481 0.481 0.535
N: 0.519 0.519 0.465

The 8 most intense peaks (15° ≤ 2θ ≤ 90°), in order of falling intensity:
| d/Å | 2theta | intensity |
| --- | --- | --- |
| 3.066 | 29.1 | 100 |
| 3.610 | 24.7 | 94 |
| 3.048 | 29.3 | 77 |
| 2.642 | 33.9 | 76 |
| 2.654 | 33.8 | 68 |
| 2.946 | 30.3 | 56 |
| 2.119 | 42.7 | 50 |
| 2.868 | 31.2 | 32 |